[1]
Starting from DFT lattice parameters and positions (PBE), the XRD peak list of Tb5CeYTm2 was calculated for Cu Kα (λ = 1.5418 Å).
Peak positions follow from Bragg's law for the DFT cell and can differ from measured ones.

Principal peaks in the range 10° ≤ 2θ ≤ 80°, low angle first:
two_theta  I/Imax
26.55  27
31.49  58
32.14  100
32.55  64
33.12  13
34.47  32
41.64  17
56.50  25
56.74  13
64.32  14

Crystal structure
Lattice parameters (Å, degrees): 5.6823 21.5265 9.5324 90.00 90.00 90.00
Space group Cmc2_1 (No. 36)
Symmetry-distinct sites (fractional):
Tb 0.0000 0.0131 0.0000
Tb 0.0000 0.2671 0.6819
Tb 0.0000 0.3053 0.2986
Tb 0.0000 0.3944 0.9678
Tb 0.0000 0.4703 0.2641
Ce 0.0000 0.1914 0.9905
Y 0.0000 0.4027 0.5854
Tm 0.0000 0.1138 0.6897
Tm 0.0000 0.1337 0.3052

=====

[2]
Starting from DFT lattice parameters and positions (PBE), the XRD peak list of Rb3PaGe2O9 was calculated for Cu Kα (λ = 1.5418 Å).
Peak positions follow from Bragg's law for the DFT cell and can differ from measured ones.

Principal peaks in the range 10° ≤ 2θ ≤ 80°, low angle first:
two_theta  I/Imax
12.44  7
17.66  10
21.66  16
30.81  100
44.14  33
54.78  31
54.84  10
64.14  10
64.25  9
72.90  18

Crystal structure
Lattice parameters (Å, degrees): 5.7990 5.7990 7.1179 90.00 90.00 120.00
Space group P-3m1 (No. 164)
Symmetry-distinct sites (fractional):
Rb 0.0000 0.0000 0.0000
Rb 0.3333 0.6667 0.6741
Pa 0.0000 0.0000 0.5000
Ge 0.3333 0.6667 0.1692
O 0.0000 0.5000 0.0000
O 0.1757 0.3514 0.3180

=====

[3]
Starting from DFT lattice parameters and positions (PBE), the XRD peak list of Ce2Hf2Se5 was calculated for Cu Kα (λ = 1.5418 Å).
Peak positions follow from Bragg's law for the DFT cell and can differ from measured ones.

Principal peaks in the range 10° ≤ 2θ ≤ 80°, low angle first:
two_theta  I/Imax
13.45  66
24.35  66
24.96  66
28.94  66
30.31  39
34.98  100
35.77  48
37.13  45
40.56  48
46.01  37

Crystal structure
Lattice parameters (Å, degrees): 13.7737 5.1306 7.3479 90.00 116.36 90.00
Space group C2/m (No. 12)
Symmetry-distinct sites (fractional):
Ce 0.1150 0.0000 0.2756
Hf 0.1678 0.5000 0.9017
Se 0.0000 0.5000 0.0000
Se 0.1229 0.0000 0.8595
Se 0.1474 0.5000 0.5307